1.
The following is a computed powder diffraction line list of GdCu5Te4. It was derived from the GGA-PBE geometry in the Materials Project, using Cu Kα X-rays.

Peak list (6 most intense, 10° ≤ 2θ ≤ 90°, in order of rising 2θ)
2θ/deg	intensity
26.93	49
27.27	100
35.19	74
42.06	45
42.44	81
44.98	48

Cell and atoms:
Unit cell a=15.8486 b=4.2964 c=7.3600 alpha=90.00 beta=115.90 gamma=90.00
Space group C2/m (No. 12)
Inequivalent atoms, fractional coordinates:
Gd: 0.0000 0.0000 0.0000
Cu: 0.0000 0.5000 0.5000
Cu: 0.1942 0.5000 0.3548
Cu: 0.1950 0.0000 0.8594
Te: 0.1181 0.0000 0.4635
Te: 0.1241 0.5000 0.9452



2.
The following is a computed powder diffraction line list of GdYCu4. It was derived from the GGA-PBE geometry in the Materials Project, using Cu Kα X-rays.

Peak list (6 most intense, 10° ≤ 2θ ≤ 90°, in order of rising 2θ)
2θ/deg	intensity
34.29	34
35.10	100
35.34	42
41.45	34
42.09	52
55.58	26

Cell and atoms:
Unit cell a=4.3568 b=6.9826 c=7.4013 alpha=90.00 beta=90.00 gamma=90.00
Space group Imm2 (No. 44)
Inequivalent atoms, fractional coordinates:
Gd: 0.0000 0.0000 0.0000
Y: 0.0000 0.5000 0.0770
Cu: 0.0000 0.1992 0.3737
Cu: 0.0000 0.3006 0.7040



3.
The following is a computed powder diffraction line list of Cu5Ge2. It was derived from the GGA-PBE geometry in the Materials Project, using Cu Kα X-rays.

Peak list (6 most intense, 10° ≤ 2θ ≤ 90°, in order of rising 2θ)
2θ/deg	intensity
43.87	100
44.15	97
64.00	30
80.63	15
80.83	30
81.44	14

Cell and atoms:
Unit cell a=4.1275 b=4.1275 c=20.0352 alpha=90.00 beta=90.00 gamma=120.00
Space group R-3m (No. 166, hexagonal axes)
Inequivalent atoms, fractional coordinates:
Cu: 0.0000 0.0000 0.0000
Cu: 0.0000 0.0000 0.1265
Cu: 0.0000 0.0000 0.3770
Ge: 0.0000 0.0000 0.2484